[1]
For Er4Sc2Bi2Os, a cell relaxed with GGA-PBE gives the simulated XRD peak list in this record (copper Kα).

Atomic structure:
```
data_Er4Sc2Bi2Os
_symmetry_space_group_name_H-M 'A m m 2'
_symmetry_Int_Tables_number 38
_cell_length_a 4.211
_cell_length_b 13.909
_cell_length_c 8.038
_cell_angle_alpha 90.00
_cell_angle_beta 90.00
_cell_angle_gamma 90.00
loop_
_symmetry_equiv_pos_as_xyz
'x,y,z'
'-x,-y,z'
'-x,y,z'
'x,-y,z'
'x,y+1/2,z+1/2'
'-x,-y+1/2,z+1/2'
'-x,y+1/2,z+1/2'
'x,-y+1/2,z+1/2'
loop_
_atom_site_label
_atom_site_type_symbol
_atom_site_fract_x
_atom_site_fract_y
_atom_site_fract_z
Er1 Er 0.000 0.000 0.000
Er2 Er 0.000 0.194 0.427
Er3 Er 0.500 0.000 0.390
Sc1 Sc 0.500 0.113 0.733
Bi1 Bi 0.500 0.169 0.116
Os1 Os 0.000 0.000 0.630
```

Peak list (10 most intense, 2θ from 5° to 70°, by angle)
d (Å)  I/Imax
4.017  40
3.603  21
2.906  100
2.682  85
2.630  28
2.319  57
2.230  51
2.105  27
1.559  34
1.492  32

***

[2]
For TbGd2Sn6Pb, a cell relaxed with GGA-PBE gives the simulated XRD peak list in this record (copper Kα).

Atomic structure:
```
data_TbGd2Sn6Pb
_symmetry_space_group_name_H-M 'C m m m'
_symmetry_Int_Tables_number 65
_symmetry_space_group_name_Hall '-C 2 2'
_cell_length_a 4.533
_cell_length_b 25.733
_cell_length_c 4.590
_cell_angle_alpha 90.00
_cell_angle_beta 90.00
_cell_angle_gamma 90.00
loop_
_atom_site_label
_atom_site_type_symbol
_atom_site_fract_x
_atom_site_fract_y
_atom_site_fract_z
Tb1 Tb 0.000 0.000 0.000
Gd1 Gd 0.000 0.188 0.000
Sn1 Sn 0.000 0.098 0.500
Sn2 Sn 0.000 0.290 0.500
Sn3 Sn 0.000 0.403 0.000
Pb1 Pb 0.000 0.500 0.500
```

Peak list (10 most intense, 2θ from 5° to 70°, by angle)
d (Å)  I/Imax
2.733  100
2.573  18
2.295  16
2.266  16
1.713  11
1.613  11
1.515  11
1.395  13
1.382  13
1.366  11

***

[3]
For InCo2SeS2, a cell relaxed with GGA-PBE gives the simulated XRD peak list in this record (copper Kα).

Atomic structure:
```
data_InCo2SeS2
_symmetry_space_group_name_H-M 'C 1 c 1'
_symmetry_Int_Tables_number 9
_cell_length_a 7.064
_cell_length_b 10.842
_cell_length_c 5.880
_cell_angle_alpha 90.00
_cell_angle_beta 105.23
_cell_angle_gamma 90.00
loop_
_symmetry_equiv_pos_as_xyz
'x,y,z'
'x,-y,z+1/2'
'x+1/2,y+1/2,z'
'x+1/2,-y+1/2,z+1/2'
loop_
_atom_site_label
_atom_site_type_symbol
_atom_site_fract_x
_atom_site_fract_y
_atom_site_fract_z
In1 In 0.000 0.105 0.000
Co1 Co 0.458 0.259 0.876
Co2 Co 0.495 0.113 0.502
Se1 Se 0.405 0.084 0.100
S1 S 0.252 0.209 0.555
S2 S 0.313 0.398 0.053
```

Peak list (10 most intense, 2θ from 5° to 70°, by angle)
d (Å)  I/Imax
3.408  72
2.942  100
2.837  63
2.710  15
2.368  17
1.959  65
1.807  14
1.723  24
1.667  18
1.580  14

***

[4]
For Cd2Cu9, a cell relaxed with GGA-PBE gives the simulated XRD peak list in this record (copper Kα).

Atomic structure:
```
data_Cd2Cu9
_symmetry_space_group_name_H-M 'P -3 m 1'
_symmetry_Int_Tables_number 164
_symmetry_space_group_name_Hall '-P 3 2"'
_cell_length_a 2.6472
_cell_length_b 2.6472
_cell_length_c 25.8591
_cell_angle_alpha 90.00
_cell_angle_beta 90.00
_cell_angle_gamma 120.00
loop_
_atom_site_label
_atom_site_type_symbol
_atom_site_fract_x
_atom_site_fract_y
_atom_site_fract_z
Cd1 Cd 0.3333 0.6667 0.4111
Cu1 Cu 0.0000 0.0000 0.0000
Cu2 Cu 0.0000 0.0000 0.2331
Cu3 Cu 0.3333 0.6667 0.1549
Cu4 Cu 0.3333 0.6667 0.6885
Cu5 Cu 0.3333 0.6667 0.9227
```

Peak list (10 most intense, 2θ from 5° to 70°, by angle)
d (Å)  I/Imax
5.172  10
4.310  10
2.351  9
2.215  8
2.161  100
2.155  13
1.989  9
1.948  9
1.870  45
1.792  14

***

[5]
For Ag15As, a cell relaxed with GGA-PBE gives the simulated XRD peak list in this record (copper Kα).

Atomic structure:
```
data_Ag15As
_symmetry_space_group_name_H-M 'P 1 2/c 1'
_symmetry_Int_Tables_number 13
_cell_length_a 5.009
_cell_length_b 35.052
_cell_length_c 5.002
_cell_angle_alpha 90.00
_cell_angle_beta 109.36
_cell_angle_gamma 90.00
loop_
_symmetry_equiv_pos_as_xyz
'x,y,z'
'-x,-y,-z'
'-x,y,-z+1/2'
'x,-y,z+1/2'
loop_
_atom_site_label
_atom_site_type_symbol
_atom_site_fract_x
_atom_site_fract_y
_atom_site_fract_z
Ag1 Ag 0.000 0.021 0.250
Ag2 Ag 0.000 0.064 0.750
Ag3 Ag 0.000 0.106 0.250
Ag4 Ag 0.000 0.149 0.750
Ag5 Ag 0.000 0.192 0.250
Ag6 Ag 0.000 0.234 0.750
Ag7 Ag 0.000 0.280 0.250
Ag8 Ag 0.000 0.320 0.750
Ag9 Ag 0.500 0.021 0.750
Ag10 Ag 0.500 0.064 0.250
Ag11 Ag 0.500 0.106 0.750
Ag12 Ag 0.500 0.149 0.250
Ag13 Ag 0.500 0.192 0.750
Ag14 Ag 0.500 0.235 0.250
Ag15 Ag 0.500 0.280 0.750
As1 As 0.500 0.314 0.250
```

Peak list (10 most intense, 2θ from 5° to 70°, by angle)
d (Å)  I/Imax
17.526  100
2.512  24
2.376  42
2.361  54
2.354  8
2.142  15
2.056  27
2.041  20
1.450  8
1.448  13

***

[6]
For TmCu3Te3, a cell relaxed with GGA-PBE gives the simulated XRD peak list in this record (copper Kα).

Atomic structure:
```
data_TmCu3Te3
_symmetry_space_group_name_H-M 'P m n 21'
_symmetry_Int_Tables_number 31
_cell_length_a 12.770
_cell_length_b 7.601
_cell_length_c 6.905
_cell_angle_alpha 90.00
_cell_angle_beta 90.00
_cell_angle_gamma 90.00
loop_
_symmetry_equiv_pos_as_xyz
'x,y,z'
'-x+1/2,-y,z+1/2'
'-x,y,z'
'x+1/2,-y,z+1/2'
loop_
_atom_site_label
_atom_site_type_symbol
_atom_site_fract_x
_atom_site_fract_y
_atom_site_fract_z
Tm1 Tm 0.162 0.250 0.000
Cu1 Cu 0.000 0.121 0.623
Cu2 Cu 0.000 0.378 0.370
Cu3 Cu 0.172 0.617 0.875
Cu4 Cu 0.175 0.881 0.121
Te1 Te 0.000 0.050 0.245
Te2 Te 0.000 0.447 0.752
Te3 Te 0.163 0.566 0.265
Te4 Te 0.163 0.933 0.733
```

Peak list (10 most intense, 2θ from 5° to 70°, by angle)
d (Å)  I/Imax
3.623  75
3.270  84
2.555  66
2.529  64
2.191  28
2.177  100
2.128  57
1.968  28
1.956  63
1.635  34

***

[7]
For TbPr2Zn2Si4Au2, a cell relaxed with GGA-PBE gives the simulated XRD peak list in this record (copper Kα).

Atomic structure:
```
data_TbPr2Zn2Si4Au2
_symmetry_space_group_name_H-M 'I m m m'
_symmetry_Int_Tables_number 71
_symmetry_space_group_name_Hall '-I 2 2'
_cell_length_a 4.156
_cell_length_b 4.278
_cell_length_c 25.117
_cell_angle_alpha 90.00
_cell_angle_beta 90.00
_cell_angle_gamma 90.00
loop_
_atom_site_label
_atom_site_type_symbol
_atom_site_fract_x
_atom_site_fract_y
_atom_site_fract_z
Tb1 Tb 0.000 0.000 0.000
Pr1 Pr 0.000 0.500 0.147
Zn1 Zn 0.000 0.000 0.250
Si1 Si 0.000 0.000 0.454
Si2 Si 0.000 0.500 0.308
Au1 Au 0.000 0.500 0.406
```

Peak list (10 most intense, 2θ from 5° to 70°, by angle)
d (Å)  I/Imax
4.217  17
3.202  23
2.716  38
2.693  100
2.139  22
2.078  20
2.014  23
1.680  18
1.490  14
1.446  16

***

[8]
For La2CoSi4Ni, a cell relaxed with GGA-PBE gives the simulated XRD peak list in this record (copper Kα).

Atomic structure:
```
data_La2CoSi4Ni
_symmetry_space_group_name_H-M 'A m m 2'
_symmetry_Int_Tables_number 38
_cell_length_a 4.107
_cell_length_b 4.224
_cell_length_c 16.548
_cell_angle_alpha 90.00
_cell_angle_beta 90.00
_cell_angle_gamma 90.00
loop_
_symmetry_equiv_pos_as_xyz
'x,y,z'
'-x,-y,z'
'-x,y,z'
'x,-y,z'
'x,y+1/2,z+1/2'
'-x,-y+1/2,z+1/2'
'-x,y+1/2,z+1/2'
'x,-y+1/2,z+1/2'
loop_
_atom_site_label
_atom_site_type_symbol
_atom_site_fract_x
_atom_site_fract_y
_atom_site_fract_z
La1 La 0.000 0.000 0.000
La2 La 0.500 0.000 0.215
Co1 Co 0.500 0.000 0.425
Si1 Si 0.000 0.000 0.359
Si2 Si 0.000 0.000 0.648
Si3 Si 0.500 0.000 0.564
Si4 Si 0.500 0.000 0.859
Ni1 Ni 0.000 0.000 0.789
```

Peak list (10 most intense, 2θ from 5° to 70°, by angle)
d (Å)  I/Imax
4.137  27
3.679  26
2.915  27
2.899  86
2.605  80
2.598  100
2.290  43
2.112  38
2.054  35
1.613  36

***

[9]
For Lu2Hf4S3N3, a cell relaxed with GGA-PBE gives the simulated XRD peak list in this record (copper Kα).

Atomic structure:
```
data_Lu2Hf4S3N3
_symmetry_space_group_name_H-M 'C 1 2/c 1'
_symmetry_Int_Tables_number 15
_cell_length_a 10.071
_cell_length_b 5.821
_cell_length_c 12.580
_cell_angle_alpha 90.00
_cell_angle_beta 105.42
_cell_angle_gamma 90.00
loop_
_symmetry_equiv_pos_as_xyz
'x,y,z'
'-x,-y,-z'
'-x,y,-z+1/2'
'x,-y,z+1/2'
'x+1/2,y+1/2,z'
'-x+1/2,-y+1/2,-z'
'-x+1/2,y+1/2,-z+1/2'
'x+1/2,-y+1/2,z+1/2'
loop_
_atom_site_label
_atom_site_type_symbol
_atom_site_fract_x
_atom_site_fract_y
_atom_site_fract_z
Lu1 Lu 0.047 0.082 0.395
Hf1 Hf 0.116 0.415 0.597
Hf2 Hf 0.218 0.417 0.903
S1 S 0.000 0.430 0.250
S2 S 0.173 0.090 0.751
N1 N 0.084 0.252 0.000
N2 N 0.250 0.250 0.500
```

Peak list (10 most intense, 2θ from 5° to 70°, by angle)
d (Å)  I/Imax
6.063  14
3.032  18
2.909  28
2.829  36
2.361  100
2.099  13
1.679  27
1.488  16
1.469  13
1.369  18

***

[10]
For NdGd2Mg4Tl2, a cell relaxed with GGA-PBE gives the simulated XRD peak list in this record (copper Kα).

Atomic structure:
```
data_NdGd2Mg4Tl2
_symmetry_space_group_name_H-M 'A m m 2'
_symmetry_Int_Tables_number 38
_cell_length_a 4.708
_cell_length_b 13.346
_cell_length_c 7.627
_cell_angle_alpha 90.00
_cell_angle_beta 90.00
_cell_angle_gamma 90.00
loop_
_symmetry_equiv_pos_as_xyz
'x,y,z'
'-x,-y,z'
'-x,y,z'
'x,-y,z'
'x,y+1/2,z+1/2'
'-x,-y+1/2,z+1/2'
'-x,y+1/2,z+1/2'
'x,-y+1/2,z+1/2'
loop_
_atom_site_label
_atom_site_type_symbol
_atom_site_fract_x
_atom_site_fract_y
_atom_site_fract_z
Nd1 Nd 0.000 0.000 0.000
Gd1 Gd 0.000 0.216 0.646
Mg1 Mg 0.000 0.000 0.436
Mg2 Mg 0.500 0.000 0.675
Mg3 Mg 0.500 0.121 0.310
Tl1 Tl 0.500 0.169 0.929
```

Peak list (10 most intense, 2θ from 5° to 70°, by angle)
d (Å)  I/Imax
6.673  40
6.622  61
3.842  28
2.977  100
2.963  53
2.722  38
2.708  82
2.354  34
2.207  23
1.452  23

***

[11]
For Li4CdAgSn2, a cell relaxed with GGA-PBE gives the simulated XRD peak list in this record (copper Kα).

Atomic structure:
```
data_Li4CdAgSn2
_symmetry_space_group_name_H-M 'P -4 m 2'
_symmetry_Int_Tables_number 115
_cell_length_a 4.670
_cell_length_b 4.670
_cell_length_c 6.601
_cell_angle_alpha 90.00
_cell_angle_beta 90.00
_cell_angle_gamma 90.00
loop_
_symmetry_equiv_pos_as_xyz
'x,y,z'
'y,-x,-z'
'-x,-y,z'
'-y,x,-z'
'-x,y,z'
'-y,-x,-z'
'x,-y,z'
'y,x,-z'
loop_
_atom_site_label
_atom_site_type_symbol
_atom_site_fract_x
_atom_site_fract_y
_atom_site_fract_z
Li1 Li 0.000 0.000 0.000
Li2 Li 0.000 0.500 0.239
Li3 Li 0.500 0.500 0.500
Cd1 Cd 0.000 0.000 0.500
Ag1 Ag 0.500 0.500 0.000
Sn1 Sn 0.000 0.500 0.758
```

Peak list (6 most intense, 2θ from 5° to 70°, by angle)
d (Å)  I/Imax
3.812  100
2.335  97
1.991  51
1.651  17
1.515  21
1.348  33

***

[12]
For Sm3Se2NO, a cell relaxed with GGA-PBE gives the simulated XRD peak list in this record (copper Kα).

Atomic structure:
```
data_Sm3Se2NO
_symmetry_space_group_name_H-M 'C 1 2/m 1'
_symmetry_Int_Tables_number 12
_cell_length_a 15.805
_cell_length_b 3.995
_cell_length_c 9.904
_cell_angle_alpha 90.00
_cell_angle_beta 97.36
_cell_angle_gamma 90.00
loop_
_symmetry_equiv_pos_as_xyz
'x,y,z'
'-x,-y,-z'
'-x,y,-z'
'x,-y,z'
'x+1/2,y+1/2,z'
'-x+1/2,-y+1/2,-z'
'-x+1/2,y+1/2,-z'
'x+1/2,-y+1/2,z'
loop_
_atom_site_label
_atom_site_type_symbol
_atom_site_fract_x
_atom_site_fract_y
_atom_site_fract_z
Sm1 Sm 0.045 0.000 0.262
Sm2 Sm 0.109 0.500 0.946
Sm3 Sm 0.198 0.000 0.673
Se1 Se 0.128 0.500 0.474
Se2 Se 0.212 0.000 0.150
N1 N 0.098 0.000 0.812
O1 O 0.036 0.500 0.140
```

Peak list (10 most intense, 2θ from 5° to 70°, by angle)
d (Å)  I/Imax
3.489  12
3.274  50
3.091  11
2.995  100
2.466  31
2.262  16
2.020  33
1.998  19
1.953  10
1.705  15